1.
Theoretical powder diffractogram of FeSi2N3 for CuKα, from a cell relaxed with GGA-PBE.
Intensities are scaled so that the largest is 100.

Peak list (6 most intense, 10 to 80 degrees two-theta, sorted by position)
(hkl)  2θ (°)  I_rel
3 1 0  33.3  77
0 0 2  37.5  49
0 2 1  38.3  100
3 1 2  51.0  30
6 0 0  59.4  28
0 2 3  68.2  32

Structure:
Cell: 9.3330 5.3863 4.7984 Å, 90.00 90.00 90.00°
Space group Cmc2_1 (No. 36)
Symmetry-distinct sites (fractional):
Fe  0.0000  0.1055  0.0000
Si  0.1665  0.3421  0.5306
N  0.0000  0.2624  0.4131
N  0.1972  0.3537  0.8935

2.
Theoretical powder diffractogram of SmTh2FeN4 for CuKα, from a cell relaxed with GGA-PBE.
Intensities are scaled so that the largest is 100.

Peak list (6 most intense, 10 to 80 degrees two-theta, sorted by position)
(hkl)  2θ (°)  I_rel
0 2 3  27.1  100
1 1 2  30.0  95
0 4 0  30.4  51
1 3 1  34.7  34
1 3 2  37.1  60
1 1 5  46.4  30

Structure:
Cell: 3.5970 11.7636 11.8875 Å, 90.00 90.00 90.00°
Space group Cmcm (No. 63)
Symmetry-distinct sites (fractional):
Sm  0.0000  0.0999  0.2500
Th  0.0000  0.3682  0.0586
Fe  0.0000  0.1638  0.7500
N  0.0000  0.0000  0.0000
N  0.0000  0.2683  0.6223
N  0.0000  0.4513  0.2500

3.
Theoretical powder diffractogram of FeSnN for CuKα, from a cell relaxed with GGA-PBE.
Intensities are scaled so that the largest is 100.

Peak list (6 most intense, 10 to 80 degrees two-theta, sorted by position)
(hkl)  2θ (°)  I_rel
0 0 2  14.0  42
0 0 4  28.2  38
1 0 0  34.6  20
1 0 2  37.5  100
1 0 4  45.2  35
1 1 0  62.0  18

Structure:
Cell: 2.9955 2.9955 12.6446 Å, 90.00 90.00 120.00°
Space group P6_3mc (No. 186)
Symmetry-distinct sites (fractional):
Fe  0.3333  0.6667  0.0000
Sn  0.0000  0.0000  0.1929
N  0.3333  0.6667  0.4608

4.
Theoretical powder diffractogram of Sr2FeN2 for CuKα, from a cell relaxed with GGA-PBE.
Intensities are scaled so that the largest is 100.

Peak list (6 most intense, 10 to 80 degrees two-theta, sorted by position)
(hkl)  2θ (°)  I_rel
1 1 2  27.6  61
1 0 3  28.4  66
2 1 0  32.9  65
1 1 3  33.3  83
2 1 1  34.0  78
0 2 0  34.5  100

Structure:
Cell: 6.3824 5.2065 10.8491 Å, 90.00 90.00 90.00°
Space group Pnma (No. 62)
Symmetry-distinct sites (fractional):
Sr  0.0542  0.2500  0.1852
Sr  0.1683  0.2500  0.5526
Fe  0.2225  0.2500  0.8335
N  0.0373  0.7500  0.2406
N  0.2298  0.7500  0.4959

5.
Theoretical powder diffractogram of SrFe2N2 for CuKα, from a cell relaxed with GGA-PBE.
Intensities are scaled so that the largest is 100.

Peak list (6 most intense, 10 to 80 degrees two-theta, sorted by position)
(hkl)  2θ (°)  I_rel
1 1 3  34.8  90
2 0 2  35.9  37
2 2 0  36.4  100
0 4 0  41.7  39
1 3 3  46.1  58
3 1 3  56.2  31

Structure:
Cell: 6.0012 8.6632 9.0564 Å, 90.00 90.00 90.00°
Space group Fddd (No. 70, origin choice 2)
Symmetry-distinct sites (fractional):
Sr  0.1250  0.1250  0.1250
Fe  0.1250  0.1250  0.4948
N  0.1250  0.3070  0.6250

6.
Theoretical powder diffractogram of Sr2FeN2 for CuKα, from a cell relaxed with GGA-PBE.
Intensities are scaled so that the largest is 100.

Peak list (6 most intense, 10 to 80 degrees two-theta, sorted by position)
(hkl)  2θ (°)  I_rel
1 -1 2  30.1  46
-2 1 2  30.2  39
0 2 2  31.3  100
1 -3 0  31.9  56
2 1 0  33.8  46
1 0 -4  40.6  25

Structure:
Cell: 6.5538 8.6662 8.8859 Å, 90.03 109.71 102.25°
Space group P-1 (No. 2)
Symmetry-distinct sites (fractional):
Sr  0.1079  0.3501  0.1795
Sr  0.1440  0.3642  0.6436
Sr  0.2313  0.0655  0.9357
Sr  0.3709  0.7992  0.2698
Sr  0.3816  0.8003  0.6699
Fe  0.1008  0.0300  0.4080
Fe  0.4141  0.6070  0.9816
Fe  0.5000  0.5000  0.5000
N  0.1991  0.0579  0.2401
N  0.1993  0.0584  0.6320
N  0.2379  0.5690  0.4325
N  0.2932  0.3936  0.9600
N  0.3213  0.7870  0.9587

7.
Theoretical powder diffractogram of Sr8Fe3N8 for CuKα, from a cell relaxed with GGA-PBE.
Intensities are scaled so that the largest is 100.

Peak list (6 most intense, 10 to 80 degrees two-theta, sorted by position)
(hkl)  2θ (°)  I_rel
3 1 1  27.4  30
1 1 -2  29.2  50
5 1 -1  29.5  73
5 1 0  29.7  38
1 1 2  31.4  64
0 2 0  33.5  100

Structure:
Cell: 18.8462 5.3559 7.4775 Å, 90.00 105.78 90.00°
Space group C2/m (No. 12)
Symmetry-distinct sites (fractional):
Sr  0.0302  0.0000  0.2646
Sr  0.0946  0.5000  0.9649
Sr  0.1668  0.5000  0.4699
Sr  0.2005  0.0000  0.8072
Fe  0.0000  0.5000  0.5000
Fe  0.1876  0.0000  0.2058
N  0.0269  0.5000  0.2800
N  0.1084  0.0000  0.0159
N  0.1791  0.0000  0.4307
N  0.2248  0.5000  0.8318

8.
Theoretical powder diffractogram of Sr3Fe2N4 for CuKα, from a cell relaxed with GGA-PBE.
Intensities are scaled so that the largest is 100.

Peak list (6 most intense, 10 to 80 degrees two-theta, sorted by position)
(hkl)  2θ (°)  I_rel
0 3 1  28.6  72
2 1 0  31.9  41
1 0 3  32.1  100
1 1 3  33.3  77
1 3 2  36.5  59
2 2 1  36.9  45

Structure:
Cell: 5.8557 9.9109 9.5199 Å, 90.00 90.00 90.00°
Space group Pnna (No. 52)
Symmetry-distinct sites (fractional):
Sr  0.1114  0.1570  0.0847
Sr  0.2500  0.0000  0.4024
Fe  0.1504  0.2500  0.7500
Fe  0.2500  0.0000  0.7330
N  0.0153  0.0875  0.8302
N  0.1401  0.6427  0.8706

9.
Theoretical powder diffractogram of Sr3Fe3N5 for CuKα, from a cell relaxed with GGA-PBE.
Intensities are scaled so that the largest is 100.

Peak list (6 most intense, 10 to 80 degrees two-theta, sorted by position)
(hkl)  2θ (°)  I_rel
1 -1 2  30.0  43
1 2 -2  31.9  57
0 2 1  32.6  66
1 0 -3  33.5  100
-2 1 1  33.8  38
2 1 0  38.0  24

Structure:
Cell: 5.6669 7.1710 8.6342 Å, 108.69 104.32 94.66°
Space group P-1 (No. 2)
Symmetry-distinct sites (fractional):
Sr  0.1553  0.1816  0.2076
Sr  0.1645  0.3688  0.8751
Sr  0.3112  0.9142  0.6088
Fe  0.1878  0.4594  0.5717
Fe  0.4083  0.6132  0.2921
Fe  0.4147  0.8283  0.9788
N  0.1408  0.5574  0.3825
N  0.2638  0.0308  0.9166
N  0.3096  0.2169  0.5228
N  0.3128  0.7286  0.1229
N  0.4334  0.6179  0.7834

10.
Theoretical powder diffractogram of SrFeN2 for CuKα, from a cell relaxed with GGA-PBE.
Intensities are scaled so that the largest is 100.

Peak list (6 most intense, 10 to 80 degrees two-theta, sorted by position)
(hkl)  2θ (°)  I_rel
1 1 2  29.9  34
2 0 0  31.6  100
0 4 1  35.0  15
1 1 3  40.6  15
3 3 1  56.4  12
2 4 3  60.1  11

Structure:
Cell: 5.6500 10.9279 7.4424 Å, 90.00 90.00 90.00°
Space group Cmce (No. 64)
Symmetry-distinct sites (fractional):
Sr  0.0000  0.1594  0.0624
Fe  0.0000  0.0571  0.6320
N  0.0000  0.1167  0.4036
N  0.2500  0.1002  0.7500

11.
Theoretical powder diffractogram of Th6Fe2N for CuKα, from a cell relaxed with GGA-PBE.
Intensities are scaled so that the largest is 100.

Peak list (6 most intense, 10 to 80 degrees two-theta, sorted by position)
(hkl)  2θ (°)  I_rel
1 0 2  30.2  69
1 0 -4  30.8  100
2 1 -2  30.9  69
0 2 2  31.5  50
1 2 1  34.4  51
0 0 6  55.7  42

Structure:
Cell: 6.3639 6.9506 11.6344 Å, 90.00 121.73 90.00°
Space group P2_1/c (No. 14)
Symmetry-distinct sites (fractional):
Th  0.0933  0.0540  0.2447
Th  0.2308  0.6745  0.0697
Th  0.3922  0.1697  0.0672
Fe  0.3274  0.1254  0.7691
N  0.0000  0.0000  0.0000